LaSiIr: calculated powder diffractogram (a wavelength of 1.5418 Å), based on a cell relaxed with PBE.

Atomic structure:
abc: 6.4319 6.4319 6.4319
angles: 90.00 90.00 90.00
Positions (direct):
La (0.1348, 0.1348, 0.1348)
La (0.3652, 0.8652, 0.6348)
La (0.6348, 0.3652, 0.8652)
La (0.8652, 0.6348, 0.3652)
Si (0.1596, 0.3404, 0.6596)
Si (0.3404, 0.6596, 0.1596)
Si (0.6596, 0.1596, 0.3404)
Si (0.8404, 0.8404, 0.8404)
Ir (0.0734, 0.5734, 0.9266)
Ir (0.4266, 0.4266, 0.4266)
Ir (0.5734, 0.9266, 0.0734)
Ir (0.9266, 0.0734, 0.5734)

Largest 8 diffraction maxima, low angle first, 2θ from 15° to 90°:
| index | Position (°2θ) | intensity |
| --- | --- | --- |
| 1 1 1 | 24.0 | 307 |
| 2 0 1 | 31.1 | 1000 |
| 2 1 1 | 34.1 | 712 |
| 2 2 1 | 42.1 | 178 |
| 3 1 1 | 46.8 | 182 |
| 3 2 1 | 53.3 | 505 |
| 4 0 1 | 59.2 | 204 |
| 5 0 2 | 80.4 | 191 |